No. 1
Starting from DFT lattice parameters and positions (GGA-PBE), the powder XRD pattern of KHo2Cl7 was calculated for Cu Kα (weighted mean of Kα1 and Kα2).
Kinematic intensities with the Lorentz-polarization factor, no thermal factor.

Largest 8 diffraction maxima, sorted by position, 10 to 90 degrees two-theta:
d/Å, I_rel
6.599, 100
6.067, 45
4.494, 33
4.440, 32
3.466, 62
2.793, 22
2.772, 25
2.563, 28

Structure:
Lattice parameters (Å, degrees): 6.922 12.613 13.199 90.00 90.79 90.00
Fractional positions:
K  0.231  0.202  0.462
K  0.231  0.298  0.962
K  0.769  0.702  0.038
K  0.769  0.798  0.538
Ho  0.225  0.661  0.751
Ho  0.225  0.839  0.251
Ho  0.279  0.537  0.262
Ho  0.279  0.963  0.762
Ho  0.721  0.037  0.238
Ho  0.721  0.463  0.738
Ho  0.775  0.161  0.749
Ho  0.775  0.339  0.249
Cl  0.016  0.677  0.327
Cl  0.016  0.823  0.827
Cl  0.037  0.059  0.631
Cl  0.037  0.441  0.131
Cl  0.045  0.087  0.878
Cl  0.045  0.413  0.378
Cl  0.242  0.685  0.107
Cl  0.242  0.815  0.607
Cl  0.443  0.527  0.866
Cl  0.443  0.973  0.366
Cl  0.473  0.574  0.620
Cl  0.473  0.926  0.120
Cl  0.497  0.703  0.324
Cl  0.497  0.797  0.824
Cl  0.503  0.203  0.176
Cl  0.503  0.297  0.676
Cl  0.527  0.074  0.880
Cl  0.527  0.426  0.380
Cl  0.557  0.027  0.634
Cl  0.557  0.473  0.134
Cl  0.758  0.185  0.393
Cl  0.758  0.315  0.893
Cl  0.955  0.587  0.622
Cl  0.955  0.913  0.122
Cl  0.963  0.559  0.869
Cl  0.963  0.941  0.369
Cl  0.984  0.177  0.173
Cl  0.984  0.323  0.673

=====

No. 2
Starting from DFT lattice parameters and positions (GGA-PBE), the powder XRD pattern of Rb2Gd4Cu4S9 was calculated for Cu Kα (weighted mean of Kα1 and Kα2).
Kinematic intensities with the Lorentz-polarization factor, no thermal factor.

Largest 8 diffraction maxima, sorted by position, 10 to 90 degrees two-theta:
d/Å, I_rel
6.607, 100
3.475, 92
3.301, 84
3.211, 80
3.036, 65
2.795, 82
2.001, 74
1.979, 66

Structure:
Lattice parameters (Å, degrees): 4.001 7.271 15.511 93.98 97.39 105.89
Fractional positions:
Rb  0.248  0.214  0.269
Rb  0.752  0.786  0.731
Gd  0.102  0.755  0.447
Gd  0.126  0.360  0.896
Gd  0.874  0.640  0.104
Gd  0.898  0.245  0.553
Cu  0.386  0.826  0.959
Cu  0.478  0.234  0.727
Cu  0.522  0.766  0.273
Cu  0.614  0.174  0.041
S  0.062  0.405  0.723
S  0.216  0.350  0.074
S  0.302  0.007  0.601
S  0.482  0.091  0.875
S  0.500  0.500  0.500
S  0.518  0.909  0.125
S  0.698  0.993  0.399
S  0.784  0.650  0.926
S  0.938  0.595  0.277

=====

No. 3
Starting from DFT lattice parameters and positions (GGA-PBE), the powder XRD pattern of NbAsO4 was calculated for Cu Kα (weighted mean of Kα1 and Kα2).
Kinematic intensities with the Lorentz-polarization factor, no thermal factor.

Largest 8 diffraction maxima, sorted by position, 10 to 90 degrees two-theta:
d/Å, I_rel
4.668, 31
3.580, 47
3.184, 100
3.014, 37
2.717, 19
1.852, 16
1.771, 22
1.699, 15

Structure:
Lattice parameters (Å, degrees): 5.578 5.063 12.056 90.00 90.00 90.00
Fractional positions:
Nb  0.112  0.016  0.000
Nb  0.388  0.516  0.500
Nb  0.612  0.484  0.000
Nb  0.888  0.984  0.500
As  0.060  0.402  0.252
As  0.440  0.902  0.752
As  0.560  0.098  0.252
As  0.940  0.598  0.752
O  0.080  0.713  0.439
O  0.127  0.228  0.533
O  0.150  0.833  0.830
O  0.160  0.161  0.151
O  0.340  0.661  0.651
O  0.350  0.333  0.330
O  0.373  0.728  0.033
O  0.420  0.213  0.939
O  0.580  0.787  0.439
O  0.627  0.272  0.533
O  0.650  0.667  0.830
O  0.660  0.339  0.151
O  0.840  0.839  0.651
O  0.850  0.167  0.330
O  0.873  0.772  0.033
O  0.920  0.287  0.939

=====

No. 4
Starting from DFT lattice parameters and positions (GGA-PBE), the powder XRD pattern of Mg2Ge2O5 was calculated for Cu Kα (weighted mean of Kα1 and Kα2).
Kinematic intensities with the Lorentz-polarization factor, no thermal factor.

Largest 8 diffraction maxima, sorted by position, 10 to 90 degrees two-theta:
d/Å, I_rel
3.882, 88
3.145, 29
2.745, 60
2.444, 100
1.941, 73
1.845, 26
1.520, 46
1.372, 21

Structure:
Lattice parameters (Å, degrees): 3.882 3.882 6.290 90.00 90.00 90.00
Fractional positions:
Mg  0.000  0.000  0.000
Mg  0.000  0.000  0.500
Ge  0.500  0.500  0.205
Ge  0.500  0.500  0.795
O  0.000  0.500  0.222
O  0.000  0.500  0.778
O  0.500  0.000  0.222
O  0.500  0.000  0.778
O  0.500  0.500  0.500

=====

No. 5
Starting from DFT lattice parameters and positions (GGA-PBE), the powder XRD pattern of RuN2 was calculated for Cu Kα (weighted mean of Kα1 and Kα2).
Kinematic intensities with the Lorentz-polarization factor, no thermal factor.

Largest 8 diffraction maxima, sorted by position, 10 to 90 degrees two-theta:
d/Å, I_rel
3.126, 89
2.682, 23
2.211, 55
2.036, 100
1.706, 39
1.398, 25
1.351, 19
1.240, 26

Structure:
Lattice parameters (Å, degrees): 4.421 4.421 2.682 90.00 90.00 90.00
Fractional positions:
Ru  0.000  0.000  0.000
Ru  0.500  0.500  0.000
N  0.106  0.394  0.500
N  0.394  0.894  0.500
N  0.606  0.106  0.500
N  0.894  0.606  0.500

=====

No. 6
Starting from DFT lattice parameters and positions (GGA-PBE), the powder XRD pattern of Na3AlTe3 was calculated for Cu Kα (weighted mean of Kα1 and Kα2).
Kinematic intensities with the Lorentz-polarization factor, no thermal factor.

Largest 8 diffraction maxima, sorted by position, 10 to 90 degrees two-theta:
d/Å, I_rel
4.093, 20
3.918, 31
3.624, 100
3.608, 61
2.830, 44
2.366, 17
2.346, 18
2.201, 25

Structure:
Lattice parameters (Å, degrees): 8.129 7.835 16.320 90.00 119.57 90.00
Fractional positions:
Na  0.054  0.020  0.279
Na  0.054  0.480  0.779
Na  0.277  0.003  0.104
Na  0.277  0.497  0.604
Na  0.317  0.501  0.102
Na  0.317  0.999  0.602
Na  0.683  0.001  0.398
Na  0.683  0.499  0.898
Na  0.723  0.503  0.396
Na  0.723  0.997  0.896
Na  0.946  0.520  0.221
Na  0.946  0.980  0.721
Al  0.335  0.641  0.418
Al  0.335  0.859  0.918
Al  0.665  0.141  0.082
Al  0.665  0.359  0.582
Te  0.045  0.741  0.926
Te  0.045  0.759  0.426
Te  0.343  0.203  0.925
Te  0.343  0.297  0.425
Te  0.344  0.744  0.269
Te  0.344  0.756  0.769
Te  0.656  0.244  0.231
Te  0.656  0.256  0.731
Te  0.657  0.703  0.575
Te  0.657  0.797  0.075
Te  0.955  0.241  0.574
Te  0.955  0.259  0.074

=====

No. 7
Starting from DFT lattice parameters and positions (GGA-PBE), the powder XRD pattern of KYTe2 was calculated for Cu Kα (weighted mean of Kα1 and Kα2).
Kinematic intensities with the Lorentz-polarization factor, no thermal factor.

Largest 8 diffraction maxima, sorted by position, 10 to 90 degrees two-theta:
d/Å, I_rel
8.252, 27
3.299, 100
2.620, 15
2.424, 33
2.251, 37
1.860, 19
1.434, 16
1.331, 17

Structure:
Lattice parameters (Å, degrees): 8.651 8.651 8.651 30.17 30.17 30.17
Fractional positions:
K  0.000  0.000  0.000
Y  0.500  0.500  0.500
Te  0.236  0.236  0.236
Te  0.764  0.764  0.764